For Ho5Al, the GGA-PBE geometry in OQMD gives the calculated XRD peak list in this record (CuKα).
Intensities are scaled so that the largest is 100.

Cell and atoms:
abc: 6.2676 6.2676 5.6815
angles: 90.00 90.00 120.00
Sites, in units of the cell vectors:
Ho1 0.0000 0.5000 0.0000
Ho2 0.3333 0.6667 0.5000
Ho3 0.5000 0.0000 0.0000
Ho4 0.5000 0.5000 0.0000
Ho5 0.6667 0.3333 0.5000
Al1 0.0000 0.0000 0.5000

Top 12 peaks for 15 to 90 degrees two-theta, most intense first:
2θ = 36.70°, rel. 100.0, (2 0 1)
2θ = 32.63°, rel. 93.5, (1 1 1)
2θ = 16.33°, rel. 82.9, (1 0 0)
2θ = 31.49°, rel. 45.6, (0 0 2)
2θ = 68.37°, rel. 29.6, (2 2 2)
2θ = 59.52°, rel. 24.8, (2 0 3)
2θ = 35.67°, rel. 24.7, (1 0 2)
2θ = 53.12°, rel. 23.7, (3 0 1)
2θ = 58.95°, rel. 23.1, (2 2 0)
2θ = 33.01°, rel. 21.2, (2 0 0)
2θ = 56.80°, rel. 19.4, (1 1 3)
2θ = 46.26°, rel. 16.6, (2 0 2)


For HoAl, the GGA-PBE geometry in OQMD gives the calculated XRD peak list in this record (CuKα).
Intensities are scaled so that the largest is 100.

Cell and atoms:
abc: 5.8233 11.3778 5.5950
angles: 90.00 90.00 90.00
Sites, in units of the cell vectors:
Ho1 0.1020 0.1688 0.2500
Ho2 0.1020 0.3312 0.7500
Ho3 0.3397 0.0163 0.7500
Ho4 0.3397 0.4837 0.2500
Ho5 0.6603 0.5163 0.7500
Ho6 0.6603 0.9837 0.2500
Ho7 0.8980 0.6688 0.2500
Ho8 0.8980 0.8312 0.7500
Al1 0.1587 0.5977 0.7500
Al2 0.1587 0.9023 0.2500
Al3 0.4292 0.7500 0.0000
Al4 0.4292 0.7500 0.5000
Al5 0.5708 0.2500 0.0000
Al6 0.5708 0.2500 0.5000
Al7 0.8413 0.0977 0.7500
Al8 0.8413 0.4023 0.2500

Top 12 peaks for 15 to 90 degrees two-theta, most intense first:
2θ = 32.40°, rel. 100.0, (1 3 1)
2θ = 35.64°, rel. 87.8, (2 1 1)
2θ = 31.99°, rel. 49.8, (0 0 2)
2θ = 27.10°, rel. 37.9, (1 2 1)
2θ = 39.06°, rel. 37.6, (1 2 2)
2θ = 35.40°, rel. 37.0, (0 4 1)
2θ = 21.84°, rel. 36.6, (1 2 0)
2θ = 17.11°, rel. 22.6, (1 1 0)
2θ = 35.11°, rel. 22.4, (1 4 0)
2θ = 23.39°, rel. 20.3, (1 1 1)
2θ = 57.28°, rel. 19.9, (1 3 3)
2θ = 59.41°, rel. 19.0, (2 1 3)


For HoAl4InIr, the GGA-PBE geometry in OQMD gives the calculated XRD peak list in this record (CuKα).
Intensities are scaled so that the largest is 100.

Cell and atoms:
abc: 4.3620 4.3620 6.9994
angles: 90.00 90.00 90.00
Sites, in units of the cell vectors:
Ho1 0.0000 0.0000 0.0000
Al1 0.0000 0.5000 0.3099
Al2 0.0000 0.5000 0.6901
Al3 0.5000 0.0000 0.3099
Al4 0.5000 0.0000 0.6901
In1 0.5000 0.5000 0.0000
Ir1 0.0000 0.0000 0.5000

Top 12 peaks for 15 to 90 degrees two-theta, most intense first:
2θ = 38.92°, rel. 100.0, (1 1 2)
2θ = 28.95°, rel. 47.2, (1 1 0)
2θ = 20.36°, rel. 47.1, (1 0 0)
2θ = 41.40°, rel. 46.6, (2 0 0)
2θ = 25.45°, rel. 38.1, (0 0 2)
2θ = 73.84°, rel. 30.4, (3 1 2)
2θ = 32.81°, rel. 29.0, (1 0 2)
2θ = 49.23°, rel. 26.1, (2 0 2)
2θ = 24.04°, rel. 24.0, (1 0 1)
2θ = 60.87°, rel. 19.2, (1 1 4)
2θ = 59.98°, rel. 15.5, (2 2 0)
2θ = 53.80°, rel. 14.9, (2 1 2)